Record 1
For Cs2RbAlBr6, a GGA-PBE-relaxed structure gives the theoretical PXRD pattern in this record (λ = 1.5418 Å (Cu Kα)).
Lines closer than 0.1° are merged.

Structure:
```
data_Cs2RbAlBr6
_chemical_formula_sum 'Cs2 Rb1 Al1 Br6'
_cell_length_a 8.228
_cell_length_b 8.228
_cell_length_c 8.228
_cell_angle_alpha 60.00
_cell_angle_beta 60.00
_cell_angle_gamma 60.00
_space_group_name_H-M_alt 'P 1'
_space_group_IT_number 1
_space_group_name_Hall 'P 1'
loop_
_atom_site_label
_atom_site_type_symbol
_atom_site_fract_x
_atom_site_fract_y
_atom_site_fract_z
Cs1 Cs 0.250 0.250 0.250
Cs2 Cs 0.750 0.750 0.750
Rb1 Rb 0.000 0.000 0.000
Al1 Al 0.500 0.500 0.500
Br1 Br 0.282 0.282 0.718
Br2 Br 0.282 0.718 0.282
Br3 Br 0.282 0.718 0.718
Br4 Br 0.718 0.282 0.282
Br5 Br 0.718 0.282 0.718
Br6 Br 0.718 0.718 0.282
```

Largest 10 diffraction maxima, low angle first, 15 to 90 degrees two-theta:
| Position (°2θ) | d_spacing | Rel. int. |
| --- | --- | --- |
| 21.60 | 4.114 | 39 |
| 26.54 | 3.359 | 100 |
| 30.73 | 2.909 | 95 |
| 33.57 | 2.670 | 21 |
| 40.27 | 2.239 | 16 |
| 44.02 | 2.057 | 60 |
| 49.54 | 1.840 | 16 |
| 52.14 | 1.754 | 32 |
| 54.65 | 1.680 | 18 |
| 72.68 | 1.301 | 19 |

=====

Record 2
For P3Pd7, a GGA-PBE-relaxed structure gives the theoretical PXRD pattern in this record (λ = 1.5418 Å (Cu Kα)).
Lines closer than 0.1° are merged.

Structure:
```
data_P3Pd7
_chemical_formula_sum 'P6 Pd14'
_cell_length_a 7.383
_cell_length_b 7.383
_cell_length_c 7.383
_cell_angle_alpha 110.05
_cell_angle_beta 110.05
_cell_angle_gamma 110.05
_space_group_name_H-M_alt 'P 1'
_space_group_IT_number 1
_space_group_name_Hall 'P 1'
loop_
_atom_site_label
_atom_site_type_symbol
_atom_site_fract_x
_atom_site_fract_y
_atom_site_fract_z
P1 P 0.008 0.808 0.185
P2 P 0.185 0.008 0.808
P3 P 0.385 0.555 0.761
P4 P 0.555 0.761 0.385
P5 P 0.761 0.385 0.555
P6 P 0.808 0.185 0.008
Pd1 Pd 0.010 0.363 0.435
Pd2 Pd 0.083 0.083 0.083
Pd3 Pd 0.127 0.559 0.200
Pd4 Pd 0.143 0.697 0.870
Pd5 Pd 0.200 0.127 0.559
Pd6 Pd 0.363 0.435 0.010
Pd7 Pd 0.433 0.867 0.692
Pd8 Pd 0.435 0.010 0.363
Pd9 Pd 0.480 0.480 0.480
Pd10 Pd 0.559 0.200 0.127
Pd11 Pd 0.692 0.433 0.867
Pd12 Pd 0.697 0.870 0.143
Pd13 Pd 0.867 0.692 0.433
Pd14 Pd 0.870 0.143 0.697
```

Largest 10 diffraction maxima, low angle first, 15 to 90 degrees two-theta:
| Position (°2θ) | d_spacing | Rel. int. |
| --- | --- | --- |
| 33.26 | 2.693 | 46 |
| 33.73 | 2.657 | 71 |
| 37.65 | 2.389 | 28 |
| 39.40 | 2.287 | 72 |
| 39.54 | 2.279 | 100 |
| 39.94 | 2.257 | 20 |
| 40.60 | 2.222 | 40 |
| 45.43 | 1.997 | 34 |
| 46.02 | 1.972 | 20 |
| 71.46 | 1.320 | 17 |

=====

Record 3
For Tm2Zn17, a GGA-PBE-relaxed structure gives the theoretical PXRD pattern in this record (λ = 1.5418 Å (Cu Kα)).
Lines closer than 0.1° are merged.

Structure:
```
data_Tm2Zn17
_chemical_formula_sum 'Tm2 Zn17'
_cell_length_a 6.779
_cell_length_b 6.779
_cell_length_c 6.779
_cell_angle_alpha 82.46
_cell_angle_beta 82.46
_cell_angle_gamma 82.46
_space_group_name_H-M_alt 'P 1'
_space_group_IT_number 1
_space_group_name_Hall 'P 1'
loop_
_atom_site_label
_atom_site_type_symbol
_atom_site_fract_x
_atom_site_fract_y
_atom_site_fract_z
Tm1 Tm 0.165 0.165 0.165
Tm2 Tm 0.835 0.835 0.835
Zn1 Zn 0.000 0.500 0.500
Zn2 Zn 0.147 0.147 0.662
Zn3 Zn 0.147 0.662 0.147
Zn4 Zn 0.201 0.500 0.799
Zn5 Zn 0.201 0.799 0.500
Zn6 Zn 0.338 0.853 0.853
Zn7 Zn 0.400 0.400 0.400
Zn8 Zn 0.500 0.000 0.500
Zn9 Zn 0.500 0.201 0.799
Zn10 Zn 0.500 0.500 0.000
Zn11 Zn 0.500 0.799 0.201
Zn12 Zn 0.600 0.600 0.600
Zn13 Zn 0.662 0.147 0.147
Zn14 Zn 0.799 0.201 0.500
Zn15 Zn 0.799 0.500 0.201
Zn16 Zn 0.853 0.338 0.853
Zn17 Zn 0.853 0.853 0.338
```

Largest 10 diffraction maxima, low angle first, 15 to 90 degrees two-theta:
| Position (°2θ) | d_spacing | Rel. int. |
| --- | --- | --- |
| 28.48 | 3.134 | 29 |
| 34.78 | 2.580 | 40 |
| 35.77 | 2.510 | 23 |
| 40.38 | 2.234 | 58 |
| 40.55 | 2.225 | 100 |
| 41.05 | 2.199 | 32 |
| 41.42 | 2.180 | 20 |
| 45.55 | 1.992 | 25 |
| 73.41 | 1.290 | 19 |
| 74.44 | 1.274 | 20 |

=====

Record 4
For EuAl2Au2, a GGA-PBE-relaxed structure gives the theoretical PXRD pattern in this record (λ = 1.5418 Å (Cu Kα)).
Lines closer than 0.1° are merged.

Structure:
```
data_EuAl2Au2
_chemical_formula_sum 'Eu2 Al4 Au4'
_cell_length_a 4.463
_cell_length_b 4.463
_cell_length_c 10.597
_cell_angle_alpha 90.00
_cell_angle_beta 90.00
_cell_angle_gamma 90.00
_space_group_name_H-M_alt 'P 1'
_space_group_IT_number 1
_space_group_name_Hall 'P 1'
loop_
_atom_site_label
_atom_site_type_symbol
_atom_site_fract_x
_atom_site_fract_y
_atom_site_fract_z
Eu1 Eu 0.250 0.250 0.250
Eu2 Eu 0.750 0.750 0.750
Al1 Al 0.250 0.250 0.628
Al2 Al 0.250 0.750 0.000
Al3 Al 0.750 0.250 0.000
Al4 Al 0.750 0.750 0.372
Au1 Au 0.250 0.250 0.869
Au2 Au 0.250 0.750 0.500
Au3 Au 0.750 0.250 0.500
Au4 Au 0.750 0.750 0.131
```

Largest 10 diffraction maxima, low angle first, 15 to 90 degrees two-theta:
| Position (°2θ) | d_spacing | Rel. int. |
| --- | --- | --- |
| 25.21 | 3.532 | 29 |
| 26.11 | 3.413 | 34 |
| 29.53 | 3.025 | 70 |
| 32.32 | 2.770 | 59 |
| 33.04 | 2.711 | 100 |
| 40.42 | 2.232 | 68 |
| 44.66 | 2.029 | 25 |
| 47.49 | 1.914 | 27 |
| 52.67 | 1.738 | 30 |
| 68.83 | 1.364 | 33 |

=====

Record 5
For HfAu9, a GGA-PBE-relaxed structure gives the theoretical PXRD pattern in this record (λ = 1.5418 Å (Cu Kα)).
Lines closer than 0.1° are merged.

Structure:
```
data_HfAu9
_chemical_formula_sum 'Hf1 Au9'
_cell_length_a 5.135
_cell_length_b 5.135
_cell_length_c 9.391
_cell_angle_alpha 90.51
_cell_angle_beta 90.51
_cell_angle_gamma 47.63
_space_group_name_H-M_alt 'P 1'
_space_group_IT_number 1
_space_group_name_Hall 'P 1'
loop_
_atom_site_label
_atom_site_type_symbol
_atom_site_fract_x
_atom_site_fract_y
_atom_site_fract_z
Hf1 Hf 0.000 0.000 0.000
Au1 Au 0.099 0.099 0.297
Au2 Au 0.202 0.202 0.599
Au3 Au 0.300 0.300 0.904
Au4 Au 0.406 0.406 0.198
Au5 Au 0.500 0.500 0.500
Au6 Au 0.594 0.594 0.802
Au7 Au 0.700 0.700 0.096
Au8 Au 0.798 0.798 0.401
Au9 Au 0.901 0.901 0.703
```

Largest 10 diffraction maxima, low angle first, 15 to 90 degrees two-theta:
| Position (°2θ) | d_spacing | Rel. int. |
| --- | --- | --- |
| 37.16 | 2.420 | 100 |
| 37.31 | 2.410 | 99 |
| 42.90 | 2.108 | 34 |
| 43.24 | 2.092 | 33 |
| 43.66 | 2.073 | 32 |
| 62.87 | 1.478 | 22 |
| 63.13 | 1.473 | 22 |
| 74.70 | 1.271 | 13 |
| 75.00 | 1.266 | 13 |
| 75.93 | 1.253 | 26 |

=====

- What is the formula in the first record?
  Cs2RbAlBr6

=====

- Which formula does entry 1 have?
  Cs2RbAlBr6

=====

- What is the formula in the fourth record?
  EuAl2Au2